For Y3InNi8, a DFT-relaxed cell (GGA-PBE, Alexandria) gives the computed powder X-ray diffraction pattern in this record (Cu Kα (λ = 1.5418 Å)).
Neutral-atom scattering factors, no anomalous dispersion.

Structure:
abc: 5.0363 5.0363 24.8060
angles: 90.00 90.00 120.00
Space group R3m (No. 160, hexagonal axes)
Asymmetric unit:
Y 0.0000 0.0000 0.0000 (multiplicity 3)
Y 0.0000 0.0000 0.1274 (multiplicity 3)
Y 0.0000 0.0000 0.5086 (multiplicity 3)
In 0.0000 0.0000 0.6312 (multiplicity 3)
Ni 0.0000 0.0000 0.3159 (multiplicity 3)
Ni 0.0000 0.0000 0.8158 (multiplicity 3)
Ni 0.1671 0.3342 0.3994 (multiplicity 9)
Ni 0.1678 0.3355 0.8996 (multiplicity 9)

Top 10 peaks for 10° ≤ 2θ ≤ 90°, in order of rising 2θ:
2θ/deg	intensity
35.5	28
35.7	28
41.9	33
42.0	100
43.8	10
44.0	27
64.0	14
68.4	29
75.2	15
75.5	15